Computed PXRD pattern
Compound: CdC
Radiation: CuKα
Structure: the GGA-PBE geometry in the Materials Project
Intensities are scaled so that the largest is 100.

Most intense lines, 10 to 80 degrees two-theta, in order of falling intensity:
| two_theta | intensity | (hkl) |
| --- | --- | --- |
| 31.77 | 100 | 1 0 1 |
| 25.37 | 45 | 1 0 0 |
| 44.71 | 36 | 1 1 0 |
| 60.20 | 28 | 1 1 2 |
| 55.89 | 20 | 2 0 1 |
| 38.16 | 19 | 0 0 2 |
| 74.24 | 17 | 2 1 1 |
| 46.38 | 16 | 1 0 2 |
| 65.00 | 12 | 1 0 3 |
| 52.10 | 6 | 2 0 0 |

abc: 4.0541 4.0541 4.7163
angles: 90.00 90.00 120.00
Element x y z (fractional)
1 Cd 0.3333 0.6667 0.2500
2 Cd 0.6667 0.3333 0.7500
3 C 0.3333 0.6667 0.7500
4 C 0.6667 0.3333 0.2500